Structure and theoretical powder diffractogram of SrIrO (a structure optimized by DFT (PBE); Cu Kα X-rays).

Structural model:
Lattice parameters (Å, degrees): 7.1579 7.1579 6.0306 90.00 90.00 114.71
Atoms (fractional coordinates):
Sr 0.1248 0.8752 0.7507
Sr 0.3752 0.6248 0.2507
Sr 0.6248 0.3752 0.7493
Sr 0.8752 0.1248 0.2493
Ir 0.1252 0.8748 0.2505
Ir 0.3748 0.6252 0.7505
Ir 0.6252 0.3748 0.2495
Ir 0.8748 0.1252 0.7495
O 0.1247 0.3753 0.7500
O 0.3753 0.1247 0.2500
O 0.6247 0.8753 0.7500
O 0.8753 0.6247 0.2500

Peak list (10 most intense, 10 to 90 degrees two-theta, by intensity)
Position (°2θ), Rel. int.
29.63, 100
37.86, 82
23.04, 72
48.80, 40
20.84, 38
42.41, 38
56.62, 32
74.56, 24
65.20, 21
88.45, 19